The following is a computed XRD peak list of Mn2PH2CO7. It was derived from a DFT-relaxed cell (GGA+U, Alexandria), using Cu Kα (λ = 1.5418 Å).
Kinematic intensities with the Lorentz-polarization factor, no thermal factor.

Largest 6 diffraction maxima, by angle, 2θ = 10–80°:
| 2θ (°) | Rel. int. | (hkl) |
| --- | --- | --- |
| 16.56 | 36 | 0 1 1 |
| 16.85 | 93 | 1 1 -1 |
| 28.93 | 100 | 1 2 -1 |
| 29.76 | 32 | 1 1 -3 |
| 34.80 | 59 | 4 0 -2 |
| 42.38 | 34 | 1 3 -1 |

Structure:
```
data_Mn2PH2CO7
_cell_length_a 10.337
_cell_length_b 6.599
_cell_length_c 10.195
_cell_angle_alpha 90.00
_cell_angle_beta 116.33
_cell_angle_gamma 90.00
_space_group_name_H-M_alt 'P 1 21/c 1'
_space_group_IT_number 14
loop_
_space_group_symop_operation_xyz
'x,y,z'
'-x,-y,-z'
'-x,y+1/2,-z+1/2'
'x,-y+1/2,z+1/2'
loop_
_atom_site_label
_atom_site_fract_x
_atom_site_fract_y
_atom_site_fract_z
Mn1 0.116 0.147 0.474
Mn2 0.235 0.523 0.732
P1 0.102 0.651 0.394
H1 0.259 0.025 0.769
H2 0.376 0.115 0.722
C1 0.459 0.045 0.541
O1 0.045 0.096 0.238
O2 0.078 0.673 0.983
O3 0.158 0.032 0.002
O4 0.213 0.700 0.335
O5 0.278 0.140 0.716
O6 0.328 0.090 0.462
O7 0.474 0.567 0.821
```